Entry 1:
This entry pairs a crystal structure of LaTb2RuO7 with its computed powder diffraction line list. Radiation: Cu Kα. Structure: a GGA-PBE-relaxed structure.
Kinematic intensities with the Lorentz-polarization factor, no thermal factor.

Structural model:
Cell lengths 6.500, 6.500, 7.561 Å; angles 90.00, 90.00, 70.01 degrees
Atoms (fractional coordinates):
La 0.000 0.000 0.000
La 0.000 0.000 0.500
Tb 0.071 0.481 0.750
Tb 0.481 0.071 0.250
Tb 0.519 0.929 0.750
Tb 0.929 0.519 0.250
Ru 0.500 0.500 0.000
Ru 0.500 0.500 0.500
O 0.117 0.162 0.250
O 0.162 0.117 0.750
O 0.184 0.557 0.037
O 0.184 0.557 0.463
O 0.412 0.588 0.750
O 0.443 0.816 0.037
O 0.443 0.816 0.463
O 0.557 0.184 0.537
O 0.557 0.184 0.963
O 0.588 0.412 0.250
O 0.816 0.443 0.537
O 0.816 0.443 0.963
O 0.838 0.883 0.250
O 0.883 0.838 0.750

Top 8 peaks for 15° ≤ 2θ ≤ 90°, low angle first:
| d/Å | 2θ (°) | intensity |
| --- | --- | --- |
| 3.344 | 26.7 | 12 |
| 3.082 | 29.0 | 100 |
| 3.054 | 29.2 | 88 |
| 2.657 | 33.7 | 64 |
| 1.890 | 48.1 | 18 |
| 1.880 | 48.4 | 45 |
| 1.607 | 57.3 | 34 |
| 1.595 | 57.8 | 15 |

Entry 2:
This entry pairs a crystal structure of LaTl2RuO6 with its computed powder diffraction line list. Radiation: Cu Kα. Structure: a GGA-PBE-relaxed structure.
Kinematic intensities with the Lorentz-polarization factor, no thermal factor.

Structural model:
Cell lengths 11.715, 11.715, 11.715 Å; angles 29.73, 29.73, 29.73 degrees
Atoms (fractional coordinates):
La 0.092 0.092 0.092
La 0.908 0.908 0.908
Tl 0.197 0.197 0.197
Tl 0.345 0.345 0.345
Tl 0.655 0.655 0.655
Tl 0.803 0.803 0.803
Ru 0.000 0.000 0.000
Ru 0.500 0.500 0.500
O 0.115 0.115 0.669
O 0.115 0.669 0.115
O 0.226 0.686 0.686
O 0.314 0.314 0.774
O 0.314 0.774 0.314
O 0.331 0.885 0.885
O 0.669 0.115 0.115
O 0.686 0.226 0.686
O 0.686 0.686 0.226
O 0.774 0.314 0.314
O 0.885 0.331 0.885
O 0.885 0.885 0.331

Top 8 peaks for 15° ≤ 2θ ≤ 90°, low angle first:
| d/Å | 2θ (°) | intensity |
| --- | --- | --- |
| 5.595 | 15.8 | 30 |
| 3.527 | 25.3 | 57 |
| 3.005 | 29.7 | 100 |
| 2.647 | 33.9 | 20 |
| 2.287 | 39.4 | 29 |
| 1.820 | 50.1 | 17 |
| 1.735 | 52.8 | 20 |
| 1.503 | 61.7 | 17 |

Entry 3:
This entry pairs a crystal structure of La2TlRuO5 with its computed powder diffraction line list. Radiation: Cu Kα. Structure: a GGA-PBE-relaxed structure.
Kinematic intensities with the Lorentz-polarization factor, no thermal factor.

Structural model:
Cell lengths 7.061, 7.061, 5.885 Å; angles 90.00, 90.00, 90.00 degrees
Atoms (fractional coordinates):
La 0.181 0.319 0.000
La 0.319 0.819 0.000
La 0.681 0.181 0.000
La 0.819 0.681 0.000
Tl 0.000 0.000 0.500
Tl 0.500 0.500 0.500
Ru 0.000 0.500 0.500
Ru 0.500 0.000 0.500
O 0.000 0.000 0.000
O 0.130 0.630 0.250
O 0.130 0.630 0.750
O 0.370 0.130 0.250
O 0.370 0.130 0.750
O 0.500 0.500 0.000
O 0.630 0.870 0.250
O 0.630 0.870 0.750
O 0.870 0.370 0.250
O 0.870 0.370 0.750

Top 8 peaks for 15° ≤ 2θ ≤ 90°, low angle first:
| d/Å | 2θ (°) | intensity |
| --- | --- | --- |
| 3.027 | 29.5 | 100 |
| 2.942 | 30.4 | 30 |
| 2.782 | 32.2 | 27 |
| 2.496 | 36.0 | 26 |
| 2.233 | 40.4 | 13 |
| 2.153 | 42.0 | 20 |
| 1.904 | 47.8 | 23 |
| 1.714 | 53.5 | 24 |